Diffraction record for Mg3Cu2Se7. The X-ray powder pattern is computed, not measured: it uses a GGA-PBE-relaxed structure and a wavelength of 1.5418 Å.
Kinematic intensities with the Lorentz-polarization factor, no thermal factor.

```
data_Mg3Cu2Se7
_chemical_formula_sum 'Mg3 Cu2 Se7'
_cell_length_a 12.9435
_cell_length_b 12.9435
_cell_length_c 12.9435
_cell_angle_alpha 23.37
_cell_angle_beta 23.37
_cell_angle_gamma 23.37
_space_group_name_H-M_alt 'P 1'
_space_group_IT_number 1
loop_
_space_group_symop_operation_xyz
'x,y,z'
loop_
_atom_site_label
_atom_site_type_symbol
_atom_site_fract_x
_atom_site_fract_y
_atom_site_fract_z
Mg1 Mg 0.0000 0.0000 0.0000
Mg2 Mg 0.1957 0.1957 0.1957
Mg3 Mg 0.8043 0.8043 0.8043
Cu1 Cu 0.3178 0.3178 0.3178
Cu2 Cu 0.6822 0.6822 0.6822
Se1 Se 0.0763 0.5704 0.5704
Se2 Se 0.4296 0.4296 0.9237
Se3 Se 0.4296 0.9237 0.4296
Se4 Se 0.5000 0.5000 0.5000
Se5 Se 0.5704 0.0763 0.5704
Se6 Se 0.5704 0.5704 0.0763
Se7 Se 0.9237 0.4296 0.4296
```

Main lines, in order of falling intensity (10 to 80 degrees two-theta):
- 2.420 Å, intensity 100
- 4.508 Å, intensity 97
- 2.092 Å, intensity 63
- 2.046 Å, intensity 49
- 3.146 Å, intensity 47
- 6.292 Å, intensity 45